This entry pairs a crystal structure of MgSF6 with its theoretical powder X-ray diffraction pattern. Radiation: copper Kα. Structure: a PBE-relaxed structure.

Largest 6 diffraction maxima, sorted by position, 10° ≤ 2θ ≤ 80°:
| d/Å | I_rel | (hkl) |
| --- | --- | --- |
| 3.703 | 100 | 0 1 2 |
| 2.682 | 9 | 1 0 4 |
| 2.223 | 55 | 2 -1 3 |
| 1.851 | 21 | 0 2 4 |
| 1.688 | 32 | 2 -1 6 |
| 1.477 | 14 | 3 0 0 |

Structural model:
```
data_MgSF6
_chemical_formula_sum 'Mg3 S3 F18'
_symmetry_space_group_name_H-M 'R -3'
_symmetry_Int_Tables_number 148
_symmetry_space_group_name_Hall '-R 3'
_cell_length_a 5.1175
_cell_length_b 5.1175
_cell_length_c 13.4766
_cell_angle_alpha 90.00
_cell_angle_beta 90.00
_cell_angle_gamma 120.00
loop_
_atom_site_label
_atom_site_type_symbol
_atom_site_fract_x
_atom_site_fract_y
_atom_site_fract_z
Mg1 Mg 0.0000 0.0000 0.0000
S1 S 0.0000 0.0000 0.5000
F1 F 0.0159 0.3947 0.2467
```